Record 1
The following is a theoretical powder X-ray diffraction pattern of Sm2DyYP4. It was derived from DFT lattice parameters and positions (PBE), using copper Kα.
Neutral-atom scattering factors, no anomalous dispersion.

Structure:
```
Sm2DyYP4
1.0
7.028 0.000 0.000
0.000 4.061 0.000
-2.343 0.000 6.629
Sm Dy Y P
2 1 1 4
Cartesian
0.000 0.000 0.000
-1.172 2.031 3.314
2.342 0.000 3.314
3.514 2.031 0.000
0.036 0.000 4.982
1.207 2.031 1.672
4.649 0.000 1.647
3.478 2.031 4.957
```

Most intense lines, 2θ from 10° to 80°, by angle:
| 2θ (°) | d [Å] | Rel. int. |
| --- | --- | --- |
| 13.4 | 6.628 | 3 |
| 25.7 | 3.462 | 3 |
| 26.9 | 3.314 | 76 |
| 31.2 | 2.870 | 100 |
| 44.6 | 2.030 | 73 |
| 52.9 | 1.731 | 37 |
| 55.4 | 1.657 | 25 |
| 65.0 | 1.435 | 12 |
| 71.7 | 1.317 | 15 |
| 73.8 | 1.284 | 32 |

---

Record 2
The following is a theoretical powder X-ray diffraction pattern of DyTlCo. It was derived from DFT lattice parameters and positions (PBE), using copper Kα.
Neutral-atom scattering factors, no anomalous dispersion.

Structure:
```
DyTlCo
1.0
6.701 0.000 0.000
0.000 3.874 0.000
-2.207 0.000 11.035
Dy Tl Co
4 4 4
Cartesian
0.000 0.000 0.000
0.010 0.000 3.619
3.351 1.937 0.000
3.361 1.937 3.619
-1.095 1.937 8.495
1.128 1.937 6.162
2.255 0.000 8.495
4.479 0.000 6.162
1.122 1.937 1.808
2.240 0.000 1.812
4.472 0.000 1.808
5.591 1.937 1.812
```

Most intense lines, 2θ from 10° to 80°, by angle:
| 2θ (°) | d [Å] | Rel. int. |
| --- | --- | --- |
| 26.7 | 3.336 | 31 |
| 27.1 | 3.286 | 19 |
| 28.7 | 3.107 | 61 |
| 32.7 | 2.735 | 89 |
| 34.4 | 2.605 | 100 |
| 38.2 | 2.356 | 19 |
| 40.3 | 2.240 | 20 |
| 40.9 | 2.207 | 22 |
| 46.9 | 1.936 | 75 |
| 63.9 | 1.456 | 23 |